[1]
Structure and calculated powder X-ray diffraction pattern of Li2ScHg (DFT lattice parameters and positions (PBE); Cu Kα).

Principal peaks in the range 10 to 90 degrees two-theta, by angle:
2θ (°), I (rel.)
18.55, 1000
32.25, 670
32.71, 472
34.46, 245
35.80, 597
37.61, 201
39.01, 306
40.99, 243
47.74, 223
60.64, 170

Lattice parameters (Å, degrees): 3.2177 3.2177 9.7373 99.32 99.32 60.15
Fractional positions:
Li1 0.0000 0.0000 0.0000
Li2 0.1815 0.1815 0.5440
Sc1 0.4245 0.4245 0.2710
Hg1 0.5906 0.5906 0.7715


[2]
Structure and calculated powder X-ray diffraction pattern of Ce5Si3Tc (DFT lattice parameters and positions (PBE); Cu Kα).

Principal peaks in the range 10 to 90 degrees two-theta, by angle:
2θ (°), I (rel.)
22.94, 148
26.77, 220
29.05, 1000
29.91, 596
32.28, 185
35.15, 146
35.70, 225
35.87, 341
38.83, 169
40.58, 138

Lattice parameters (Å, degrees): 8.3397 8.3397 7.8709 111.94 111.94 73.79
Fractional positions:
Ce1 0.0509 0.0509 0.7359
Ce2 0.1118 0.5396 0.3774
Ce3 0.2214 0.7786 0.0000
Ce4 0.2771 0.2771 0.9716
Ce5 0.4604 0.8882 0.6226
Ce6 0.5396 0.1118 0.3774
Ce7 0.7229 0.7229 0.0284
Ce8 0.7786 0.2214 0.0000
Ce9 0.8882 0.4604 0.6226
Ce10 0.9491 0.9491 0.2641
Si1 0.1536 0.1536 0.1868
Si2 0.1981 0.1981 0.5351
Si3 0.5000 0.5000 0.0000
Si4 0.5000 0.5000 0.5000
Si5 0.8019 0.8019 0.4649
Si6 0.8464 0.8464 0.8132
Tc1 0.4008 0.4008 0.6747
Tc2 0.5992 0.5992 0.3253


[3]
Structure and calculated powder X-ray diffraction pattern of DyTl2Cd2Te4 (DFT lattice parameters and positions (PBE); Cu Kα).

Principal peaks in the range 10 to 90 degrees two-theta, by angle:
2θ (°), I (rel.)
24.24, 287
26.62, 723
27.87, 324
29.02, 1000
30.38, 942
31.04, 483
32.87, 240
34.29, 398
40.66, 501
46.42, 268

Lattice parameters (Å, degrees): 8.4761 8.4761 8.5421 105.91 105.91 30.35
Fractional positions:
Dy1 0.0000 0.0000 0.0000
Tl1 0.1289 0.1289 0.5528
Tl2 0.8711 0.8711 0.4472
Cd1 0.3336 0.3336 0.0253
Cd2 0.6664 0.6664 0.9747
Te1 0.2025 0.2025 0.2034
Te2 0.4971 0.4971 0.2572
Te3 0.5029 0.5029 0.7428
Te4 0.7975 0.7975 0.7966


[4]
Structure and calculated powder X-ray diffraction pattern of La2Ti3O9 (DFT lattice parameters and positions (PBE); Cu Kα).

Principal peaks in the range 10 to 90 degrees two-theta, by angle:
2θ (°), I (rel.)
22.24, 164
26.88, 234
27.66, 466
28.12, 1000
28.44, 513
30.61, 220
31.62, 357
44.00, 174
45.17, 158
53.25, 137

Lattice parameters (Å, degrees): 5.8440 8.1039 8.9110 108.39 107.70 90.30
Fractional positions:
La1 0.1165 0.1879 0.2161
La2 0.2034 0.8212 0.4270
La3 0.7966 0.1788 0.5730
La4 0.8835 0.8121 0.7839
Ti1 0.2386 0.5258 0.0072
Ti2 0.3397 0.4939 0.6523
Ti3 0.4235 0.0804 0.8526
Ti4 0.5765 0.9196 0.1474
Ti5 0.6603 0.5061 0.3477
Ti6 0.7614 0.4742 0.9928
O1 0.0020 0.3320 0.9504
O2 0.1160 0.0069 0.6904
O3 0.1299 0.3121 0.4956
O4 0.1613 0.5702 0.7961
O5 0.2842 0.9959 0.0017
O6 0.3561 0.5580 0.2446
O7 0.4235 0.9773 0.3131
O8 0.4341 0.6760 0.6025
O9 0.4444 0.3227 0.9356
O10 0.5556 0.6773 0.0644
O11 0.5659 0.3240 0.3975
O12 0.5765 0.0227 0.6869
O13 0.6439 0.4420 0.7554
O14 0.7158 0.0041 0.9983
O15 0.8387 0.4298 0.2039
O16 0.8701 0.6879 0.5044
O17 0.8840 0.9931 0.3096
O18 0.9980 0.6680 0.0496